No. 1
# RbHS
Calculated powder XRD pattern, Cu Kα. Input: a PBE-relaxed structure.
Lines closer than 0.1° are merged.

Peak list (12 most intense, 5° ≤ 2θ ≤ 70°, low angle first)
Position (°2θ)  d_spacing  Rel. int.
20.18  4.400  32
26.84  3.322  10
28.48  3.134  42
28.91  3.088  41
33.81  2.651  100
39.53  2.280  7
41.03  2.200  30
49.71  1.834  8
53.92  1.700  25
54.44  1.685  24
63.39  1.467  10
63.61  1.463  8

```
RbHS
1.0
3.3217 0.0000 0.0000
0.0000 3.0880 3.1345
0.0000 -3.0880 3.1345
Rb H S
1 1 1
direct
0.0000 0.0000 0.0000 Rb
0.0000 0.4694 0.4694 H
0.5000 0.5130 0.5130 S
```

No. 2
# AlGaP2
Calculated powder XRD pattern, Cu Kα. Input: a PBE-relaxed structure.
Lines closer than 0.1° are merged.

Peak list (12 most intense, 5° ≤ 2θ ≤ 70°, low angle first)
Position (°2θ)  d_spacing  Rel. int.
16.11  5.500  13
22.84  3.894  12
28.08  3.178  100
32.53  2.752  5
36.49  2.462  8
40.14  2.246  6
46.67  1.946  66
49.69  1.835  4
52.55  1.741  3
55.36  1.660  41
63.20  1.471  3
68.14  1.376  10

```
AlGaP2
1.0
3.8938 0.0000 0.0000
0.0000 3.8938 0.0000
0.0000 0.0000 5.5004
Al Ga P
1 1 2
direct
0.0000 0.0000 0.0000 Al
0.5000 0.5000 0.5000 Ga
0.0000 0.5000 0.2494 P
0.5000 0.0000 0.7506 P
```

No. 3
# CeInCu
Calculated powder XRD pattern, Cu Kα. Input: a PBE-relaxed structure.
Lines closer than 0.1° are merged.

Peak list (12 most intense, 5° ≤ 2θ ≤ 70°, low angle first)
Position (°2θ)  d_spacing  Rel. int.
32.01  2.796  100
35.04  2.561  90
37.29  2.411  56
42.08  2.147  29
42.51  2.127  18
43.02  2.103  15
51.66  1.769  11
56.23  1.636  23
57.46  1.604  31
61.35  1.511  11
67.62  1.385  24
68.74  1.366  10

```
CeInCu
1.0
7.3668 0.0000 0.0000
-3.6834 6.3799 0.0000
0.0000 0.0000 4.2949
Ce In Cu
3 3 3
direct
0.0000 0.5819 0.0000 Ce
0.4181 0.4181 0.0000 Ce
0.5819 0.0000 0.0000 Ce
0.0000 0.2472 0.5000 In
0.2472 0.0000 0.5000 In
0.7528 0.7528 0.5000 In
0.0000 0.0000 0.0000 Cu
0.3333 0.6667 0.5000 Cu
0.6667 0.3333 0.5000 Cu
```

No. 4
# Y2HfO5
Calculated powder XRD pattern, Cu Kα. Input: a PBE-relaxed structure.
Lines closer than 0.1° are merged.

Peak list (12 most intense, 5° ≤ 2θ ≤ 70°, low angle first)
Position (°2θ)  d_spacing  Rel. int.
11.22  7.887  7
13.01  6.805  9
25.49  3.495  7
27.00  3.303  7
29.12  3.066  100
33.58  2.669  22
34.10  2.629  11
48.21  1.888  16
48.61  1.873  31
57.32  1.607  25
58.02  1.590  10
60.37  1.533  9

```
Y2HfO5
1.0
7.5426 0.0000 0.0000
0.0000 3.7775 0.0000
0.0000 0.0000 15.7741
Y Hf O
8 4 20
direct
0.0871 0.2500 0.0900 Y
0.1503 0.2500 0.7377 Y
0.3497 0.7500 0.2377 Y
0.4129 0.7500 0.5900 Y
0.5871 0.2500 0.4100 Y
0.6503 0.2500 0.7623 Y
0.8497 0.7500 0.2623 Y
0.9129 0.7500 0.9100 Y
0.1187 0.2500 0.4273 Hf
0.3813 0.7500 0.9273 Hf
0.6187 0.2500 0.0727 Hf
0.8813 0.7500 0.5727 Hf
0.0786 0.7500 0.4613 O
0.0847 0.7500 0.1784 O
0.1097 0.7500 0.6514 O
0.1472 0.7500 0.0022 O
0.2138 0.7500 0.8270 O
0.2862 0.2500 0.3270 O
0.3528 0.2500 0.5022 O
0.3903 0.2500 0.1514 O
0.4153 0.2500 0.6784 O
0.4214 0.2500 0.9613 O
0.5786 0.7500 0.0387 O
0.5847 0.7500 0.3216 O
0.6097 0.7500 0.8486 O
0.6472 0.7500 0.4978 O
0.7138 0.7500 0.6730 O
0.7862 0.2500 0.1730 O
0.8528 0.2500 0.9978 O
0.8903 0.2500 0.3486 O
0.9153 0.2500 0.8216 O
0.9214 0.2500 0.5387 O
```

No. 5
# Gd3CI3
Calculated powder XRD pattern, Cu Kα. Input: a PBE-relaxed structure.
Lines closer than 0.1° are merged.

Peak list (12 most intense, 5° ≤ 2θ ≤ 70°, low angle first)
Position (°2θ)  d_spacing  Rel. int.
7.44  11.885  16
29.19  3.060  20
30.08  2.971  43
30.44  2.937  100
31.99  2.798  26
33.35  2.687  21
33.62  2.665  13
34.70  2.585  18
42.73  2.116  24
43.91  2.062  23
45.93  1.976  20
55.88  1.645  18

```
Gd3CI3
1.0
8.7836 0.0000 0.0000
0.0000 3.9516 0.0000
-0.4596 0.0000 11.8846
Gd C I
6 2 6
direct
0.0820 0.2500 0.4001 Gd
0.1149 0.2500 0.8196 Gd
0.2971 0.7500 0.6167 Gd
0.7029 0.2500 0.3833 Gd
0.8851 0.7500 0.1804 Gd
0.9180 0.7500 0.5999 Gd
0.1202 0.2500 0.6166 C
0.8798 0.7500 0.3834 C
0.1456 0.2500 0.1235 I
0.3806 0.7500 0.8757 I
0.3831 0.7500 0.3645 I
0.6169 0.2500 0.6355 I
0.6194 0.2500 0.1243 I
0.8544 0.7500 0.8765 I
```

No. 6
# BaGe3Rh
Calculated powder XRD pattern, Cu Kα. Input: a PBE-relaxed structure.
Lines closer than 0.1° are merged.

Peak list (12 most intense, 5° ≤ 2θ ≤ 70°, low angle first)
Position (°2θ)  d_spacing  Rel. int.
27.56  3.236  26
32.36  2.766  78
32.57  2.749  100
39.38  2.288  80
44.66  2.029  21
47.98  1.896  24
51.85  1.763  40
53.29  1.719  10
56.91  1.618  27
60.51  1.530  18
63.74  1.460  20
67.13  1.394  24

```
BaGe3Rh
1.0
-2.2883 2.2883 5.2088
2.2883 -2.2883 5.2088
2.2883 2.2883 -5.2088
Ba Ge Rh
1 3 1
direct
0.0000 0.0000 0.0000 Ba
0.2525 0.7525 0.5000 Ge
0.4085 0.4085 0.0000 Ge
0.7525 0.2525 0.5000 Ge
0.6502 0.6502 0.0000 Rh
```

No. 7
# K2MgCu2O4
Calculated powder XRD pattern, Cu Kα. Input: a PBE-relaxed structure.
Lines closer than 0.1° are merged.

Peak list (12 most intense, 5° ≤ 2θ ≤ 70°, low angle first)
Position (°2θ)  d_spacing  Rel. int.
16.08  5.513  39
17.59  5.043  100
21.16  4.198  34
26.39  3.377  46
31.46  2.843  27
33.53  2.673  18
35.59  2.523  49
35.83  2.506  25
41.52  2.175  22
45.85  1.979  28
46.64  1.948  41
52.20  1.752  18

```
K2MgCu2O4
1.0
5.1641 0.0000 0.0000
0.0000 5.6867 0.0000
-1.2158 0.0000 5.5128
K Mg Cu O
2 1 2 4
direct
0.0000 0.0000 0.0000 K
0.1522 0.5000 0.5927 K
0.6615 0.5000 0.9160 Mg
0.6244 0.5000 0.3931 Cu
0.6391 0.0000 0.4086 Cu
0.5964 0.2587 0.1558 O
0.5964 0.7413 0.1558 O
0.6958 0.2683 0.6491 O
0.6958 0.7317 0.6491 O
```

No. 8
# BaO
Calculated powder XRD pattern, Cu Kα. Input: a PBE-relaxed structure.
Lines closer than 0.1° are merged.

Peak list (12 most intense, 5° ≤ 2θ ≤ 70°, low angle first)
Position (°2θ)  d_spacing  Rel. int.
23.56  3.777  38
27.00  3.303  31
27.20  3.279  100
36.13  2.486  21
41.41  2.181  33
47.82  1.902  29
48.19  1.888  5
50.13  1.820  32
50.25  1.816  19
56.10  1.639  6
65.07  1.433  11
67.08  1.395  16

```
BaO
1.0
4.3612 0.0000 0.0000
-2.1806 3.7769 0.0000
0.0000 0.0000 6.6056
Ba O
2 2
direct
0.3333 0.6667 0.0000 Ba
0.6667 0.3333 0.5000 Ba
0.3333 0.6667 0.3951 O
0.6667 0.3333 0.8951 O
```

No. 9
# La3TaCl6O4
Calculated powder XRD pattern, Cu Kα. Input: a PBE-relaxed structure.
Lines closer than 0.1° are merged.

Peak list (12 most intense, 5° ≤ 2θ ≤ 70°, low angle first)
Position (°2θ)  d_spacing  Rel. int.
7.85  11.263  100
15.74  5.632  41
20.87  4.257  62
26.08  3.417  25
27.28  3.269  72
28.57  3.124  25
30.61  2.921  96
36.44  2.466  32
36.56  2.458  74
41.56  2.173  50
59.45  1.555  34
62.18  1.493  28

```
La3TaCl6O4
1.0
13.0057 0.0000 0.0000
-6.5028 11.2632 0.0000
0.0000 0.0000 4.0154
La Ta Cl O
6 2 12 8
direct
0.1160 0.7187 0.2500 La
0.2813 0.3973 0.2500 La
0.3973 0.1160 0.7500 La
0.6027 0.8840 0.2500 La
0.7187 0.6027 0.7500 La
0.8840 0.2813 0.7500 La
0.3333 0.6667 0.7500 Ta
0.6667 0.3333 0.2500 Ta
0.0703 0.4434 0.2500 Cl
0.1057 0.2486 0.7500 Cl
0.1429 0.8943 0.7500 Cl
0.2486 0.1429 0.2500 Cl
0.3730 0.9297 0.2500 Cl
0.4434 0.3730 0.7500 Cl
0.5566 0.6270 0.2500 Cl
0.6270 0.0703 0.7500 Cl
0.7514 0.8571 0.7500 Cl
0.8571 0.1057 0.2500 Cl
0.8943 0.7514 0.2500 Cl
0.9297 0.5566 0.7500 Cl
0.2012 0.6922 0.7500 O
0.3078 0.5090 0.7500 O
0.3333 0.6667 0.2500 O
0.4910 0.7988 0.7500 O
0.5090 0.2012 0.2500 O
0.6667 0.3333 0.7500 O
0.6922 0.4910 0.2500 O
0.7988 0.3078 0.2500 O
```

No. 10
# Cu3As
Calculated powder XRD pattern, Cu Kα. Input: a PBE-relaxed structure.
Lines closer than 0.1° are merged.

Peak list (12 most intense, 5° ≤ 2θ ≤ 70°, low angle first)
Position (°2θ)  d_spacing  Rel. int.
25.33  3.516  5
27.74  3.215  5
37.92  2.373  45
40.99  2.202  43
44.17  2.050  100
44.64  2.030  84
46.16  1.967  36
50.48  1.808  14
53.52  1.712  2
64.61  1.443  12
66.16  1.412  4
68.27  1.374  12

```
Cu3As
1.0
7.0312 0.0000 0.0000
-3.5156 6.0892 0.0000
0.0000 0.0000 7.5730
Cu As
18 6
direct
0.0000 0.0000 0.0000 Cu
0.0000 0.0000 0.5000 Cu
0.0637 0.3924 0.4166 Cu
0.0637 0.6713 0.9166 Cu
0.3287 0.3924 0.9166 Cu
0.3287 0.9363 0.4166 Cu
0.3333 0.6667 0.1597 Cu
0.3333 0.6667 0.6597 Cu
0.3924 0.0637 0.0834 Cu
0.3924 0.3287 0.5834 Cu
0.6076 0.6713 0.4166 Cu
0.6076 0.9363 0.9166 Cu
0.6667 0.3333 0.3403 Cu
0.6667 0.3333 0.8403 Cu
0.6713 0.0637 0.5834 Cu
0.6713 0.6076 0.0834 Cu
0.9363 0.3287 0.0834 Cu
0.9363 0.6076 0.5834 Cu
0.0000 0.3033 0.7500 As
0.0000 0.6967 0.2500 As
0.3033 0.0000 0.7500 As
0.3033 0.3033 0.2500 As
0.6967 0.0000 0.2500 As
0.6967 0.6967 0.7500 As
```

No. 11
# V7S8
Calculated powder XRD pattern, Cu Kα. Input: a PBE-relaxed structure.
Lines closer than 0.1° are merged.

Peak list (12 most intense, 5° ≤ 2θ ≤ 70°, low angle first)
Position (°2θ)  d_spacing  Rel. int.
14.64  6.050  3
16.03  5.528  7
21.78  4.081  8
31.70  2.823  3
32.39  2.764  27
33.78  2.654  3
35.72  2.514  46
44.40  2.040  100
56.49  1.629  10
57.78  1.596  34
61.29  1.512  9
69.81  1.347  5

```
V7S8
1.0
6.3826 0.0000 0.0000
-3.1913 5.5275 0.0000
0.0000 0.0000 6.0497
V S
7 8
direct
0.0000 0.0000 0.0000 V
0.0000 0.5000 0.0000 V
0.0000 0.5000 0.5000 V
0.5000 0.0000 0.0000 V
0.5000 0.0000 0.5000 V
0.5000 0.5000 0.0000 V
0.5000 0.5000 0.5000 V
0.1641 0.3283 0.7470 S
0.1641 0.8359 0.7470 S
0.3283 0.1641 0.2530 S
0.3333 0.6667 0.2491 S
0.6667 0.3333 0.7509 S
0.6717 0.8359 0.7470 S
0.8359 0.1641 0.2530 S
0.8359 0.6717 0.2530 S
```

No. 12
# Zr
Calculated powder XRD pattern, Cu Kα. Input: a PBE-relaxed structure.
Lines closer than 0.1° are merged.

Peak list (4 most intense, 5° ≤ 2θ ≤ 70°, low angle first)
Position (°2θ)  d_spacing  Rel. int.
34.23  2.619  100
39.74  2.268  49
57.45  1.604  32
68.61  1.368  37

```
Zr
1.0
0.0000 2.2684 2.2684
2.2684 0.0000 2.2684
2.2684 2.2684 0.0000
Zr
1
direct
0.0000 0.0000 0.0000 Zr
```